Tb4Dy19Th6: computed powder XRD pattern (Cu Kα X-rays), based on DFT lattice parameters and positions (PBE).
Intensities are scaled so that the largest is 100.

Structural model:
```
data_Tb4Dy19Th6
_chemical_formula_sum 'Tb8 Dy38 Th12'
_space_group_name_H-M_alt 'I 2 3'
_space_group_IT_number 197
_space_group_name_Hall 'I 2 2 3'
_cell_length_a 12.439
_cell_length_b 12.439
_cell_length_c 12.439
_cell_angle_alpha 90.00
_cell_angle_beta 90.00
_cell_angle_gamma 90.00
loop_
_atom_site_label
_atom_site_type_symbol
_atom_site_fract_x
_atom_site_fract_y
_atom_site_fract_z
Tb1 Tb 0.178 0.178 0.178
Dy1 Dy 0.000 0.000 0.000
Dy2 Dy 0.000 0.000 0.265
Dy3 Dy 0.066 0.277 0.742
Th1 Th 0.000 0.130 0.500
```

Most intense lines, 15° ≤ 2θ ≤ 90°, low angle first:
| h k l | Position (°2θ) | d [Å] | I_rel |
| --- | --- | --- | --- |
| 3 2 1 | 26.82 | 3.324 | 78 |
| 4 0 0 | 28.71 | 3.110 | 65 |
| 4 1 1 | 30.49 | 2.932 | 100 |
| 4 2 2 | 35.35 | 2.539 | 58 |
| 4 3 1 | 36.84 | 2.439 | 100 |
| 4 3 3 | 42.37 | 2.133 | 26 |
| 6 3 3 | 54.18 | 1.693 | 25 |
| 7 4 1 | 60.46 | 1.531 | 34 |
| 8 2 0 | 61.47 | 1.508 | 26 |
| 7 4 3 | 64.44 | 1.446 | 25 |

Tb9Dy3Th2: computed powder XRD pattern (Cu Kα X-rays), based on DFT lattice parameters and positions (PBE).
Intensities are scaled so that the largest is 100.

Structural model:
```
data_Tb9Dy3Th2
_chemical_formula_sum 'Tb18 Dy6 Th4'
_space_group_name_H-M_alt 'C 1 m 1'
_space_group_IT_number 8
_cell_length_a 16.409
_cell_length_b 5.619
_cell_length_c 10.288
_cell_angle_alpha 90.00
_cell_angle_beta 105.47
_cell_angle_gamma 90.00
loop_
_space_group_symop_operation_xyz
'x,y,z'
'x,-y,z'
'x+1/2,y+1/2,z'
'x+1/2,-y+1/2,z'
loop_
_atom_site_label
_atom_site_type_symbol
_atom_site_fract_x
_atom_site_fract_y
_atom_site_fract_z
Tb1 Tb 0.000 0.000 0.000
Tb2 Tb 0.008 0.000 0.396
Tb3 Tb 0.025 0.500 0.207
Tb4 Tb 0.178 0.000 0.218
Tb5 Tb 0.216 0.000 0.581
Tb6 Tb 0.261 0.500 0.420
Tb7 Tb 0.274 0.000 0.952
Tb8 Tb 0.340 0.500 0.145
Tb9 Tb 0.434 0.000 0.778
Dy1 Dy 0.053 0.000 0.731
Dy2 Dy 0.300 0.500 0.776
Dy3 Dy 0.383 0.000 0.407
Th1 Th 0.095 0.500 0.577
Th2 Th 0.137 0.500 0.960
```

Most intense lines, 15° ≤ 2θ ≤ 90°, low angle first:
| h k l | Position (°2θ) | d [Å] | I_rel |
| --- | --- | --- | --- |
| 5 1 -1 | 31.61 | 2.831 | 27 |
| 0 2 0 | 31.85 | 2.810 | 55 |
| 3 1 -3 | 32.09 | 2.790 | 100 |
| 3 1 2 | 32.12 | 2.787 | 59 |
| 5 1 0 | 32.48 | 2.756 | 28 |
| 6 0 -1 | 32.75 | 2.735 | 20 |
| 0 0 5 | 45.77 | 1.982 | 19 |
| 6 2 -1 | 46.33 | 1.960 | 15 |
| 3 3 -3 | 56.89 | 1.619 | 42 |
| 5 1 5 | 63.88 | 1.457 | 10 |

TbDy6Th4: computed powder XRD pattern (Cu Kα X-rays), based on DFT lattice parameters and positions (PBE).
Intensities are scaled so that the largest is 100.

Structural model:
```
data_TbDy6Th4
_chemical_formula_sum 'Tb2 Dy12 Th8'
_space_group_name_H-M_alt 'I m m m'
_space_group_IT_number 71
_space_group_name_Hall '-I 2 2'
_cell_length_a 3.431
_cell_length_b 5.849
_cell_length_c 35.710
_cell_angle_alpha 90.00
_cell_angle_beta 90.00
_cell_angle_gamma 90.00
loop_
_atom_site_label
_atom_site_type_symbol
_atom_site_fract_x
_atom_site_fract_y
_atom_site_fract_z
Tb1 Tb 0.000 0.000 0.000
Dy1 Dy 0.000 0.500 0.131
Dy2 Dy 0.000 0.500 0.233
Dy3 Dy 0.000 0.500 0.404
Th1 Th 0.000 0.000 0.182
Th2 Th 0.000 0.000 0.456
```

Most intense lines, 15° ≤ 2θ ≤ 90°, low angle first:
| h k l | Position (°2θ) | d [Å] | I_rel |
| --- | --- | --- | --- |
| 1 0 3 | 27.05 | 3.297 | 27 |
| 1 0 5 | 28.87 | 3.093 | 18 |
| 0 2 0 | 30.58 | 2.924 | 67 |
| 0 1 11 | 31.51 | 2.839 | 100 |
| 1 1 4 | 31.86 | 2.809 | 15 |
| 1 1 6 | 33.83 | 2.650 | 38 |
| 1 1 8 | 36.43 | 2.467 | 40 |
| 1 2 3 | 41.27 | 2.188 | 18 |
| 0 3 11 | 54.93 | 1.671 | 20 |
| 2 1 11 | 63.35 | 1.468 | 26 |

TbDy8Th6: computed powder XRD pattern (Cu Kα X-rays), based on DFT lattice parameters and positions (PBE).
Intensities are scaled so that the largest is 100.

Structural model:
```
data_TbDy8Th6
_chemical_formula_sum 'Tb3 Dy24 Th18'
_space_group_name_H-M_alt 'R -3'
_space_group_IT_number 148
_space_group_name_Hall '-R 3'
_cell_length_a 8.8499
_cell_length_b 8.8499
_cell_length_c 21.2911
_cell_angle_alpha 90.00
_cell_angle_beta 90.00
_cell_angle_gamma 120.00
loop_
_atom_site_label
_atom_site_type_symbol
_atom_site_fract_x
_atom_site_fract_y
_atom_site_fract_z
Tb1 Tb 0.0000 0.0000 0.0000
Dy1 Dy 0.0000 0.0000 0.4197
Dy2 Dy 0.0622 0.8079 0.1337
Th1 Th 0.0260 0.2439 0.7090
```

Most intense lines, 15° ≤ 2θ ≤ 90°, low angle first:
| h k l | Position (°2θ) | d [Å] | I_rel |
| --- | --- | --- | --- |
| 3 -1 1 | 31.16 | 2.870 | 100 |
| 2 0 5 | 31.41 | 2.848 | 52 |
| 1 0 7 | 31.65 | 2.827 | 47 |
| 3 -2 2 | 32.02 | 2.795 | 65 |
| 1 1 6 | 32.34 | 2.768 | 61 |
| 3 -2 5 | 37.55 | 2.395 | 20 |
| 4 1 0 | 54.90 | 1.672 | 20 |
| 5 -1 3 | 56.53 | 1.628 | 17 |
| 4 0 7 | 56.79 | 1.621 | 16 |
| 2 1 13 | 65.48 | 1.425 | 16 |

Tb3Dy3Th8: computed powder XRD pattern (Cu Kα X-rays), based on DFT lattice parameters and positions (PBE).
Intensities are scaled so that the largest is 100.

Structural model:
```
data_Tb3Dy3Th8
_chemical_formula_sum 'Tb6 Dy6 Th16'
_space_group_name_H-M_alt 'I m m m'
_space_group_IT_number 71
_space_group_name_Hall '-I 2 2'
_cell_length_a 5.707
_cell_length_b 10.742
_cell_length_c 15.246
_cell_angle_alpha 90.00
_cell_angle_beta 90.00
_cell_angle_gamma 90.00
loop_
_atom_site_label
_atom_site_type_symbol
_atom_site_fract_x
_atom_site_fract_y
_atom_site_fract_z
Tb1 Tb 0.000 0.000 0.000
Tb2 Tb 0.000 0.500 0.317
Dy1 Dy 0.000 0.000 0.500
Dy2 Dy 0.000 0.307 0.500
Th1 Th 0.000 0.155 0.281
Th2 Th 0.000 0.336 0.105
```

Most intense lines, 15° ≤ 2θ ≤ 90°, low angle first:
| h k l | Position (°2θ) | d [Å] | I_rel |
| --- | --- | --- | --- |
| 1 1 4 | 29.38 | 3.040 | 38 |
| 0 3 3 | 30.54 | 2.928 | 36 |
| 2 0 0 | 31.35 | 2.853 | 57 |
| 1 3 2 | 31.75 | 2.818 | 100 |
| 1 0 5 | 33.32 | 2.689 | 66 |
| 2 3 3 | 44.33 | 2.043 | 26 |
| 0 6 0 | 51.02 | 1.790 | 17 |
| 3 3 2 | 56.06 | 1.641 | 20 |
| 3 0 5 | 57.07 | 1.614 | 25 |
| 1 6 5 | 62.30 | 1.490 | 18 |

Tb2Dy2Th5: computed powder XRD pattern (Cu Kα X-rays), based on DFT lattice parameters and positions (PBE).
Intensities are scaled so that the largest is 100.

Structural model:
```
data_Tb2Dy2Th5
_chemical_formula_sum 'Tb2 Dy2 Th5'
_space_group_name_H-M_alt 'P -1'
_space_group_IT_number 2
_cell_length_a 5.012
_cell_length_b 6.200
_cell_length_c 10.695
_cell_angle_alpha 95.49
_cell_angle_beta 103.51
_cell_angle_gamma 113.84
loop_
_space_group_symop_operation_xyz
'x,y,z'
'-x,-y,-z'
loop_
_atom_site_label
_atom_site_type_symbol
_atom_site_fract_x
_atom_site_fract_y
_atom_site_fract_z
Tb1 Tb 0.110 0.276 0.444
Dy1 Dy 0.223 0.056 0.890
Th1 Th 0.000 0.500 0.000
Th2 Th 0.331 0.831 0.331
Th3 Th 0.443 0.607 0.778
```

Most intense lines, 15° ≤ 2θ ≤ 90°, low angle first:
| h k l | Position (°2θ) | d [Å] | I_rel |
| --- | --- | --- | --- |
| 1 0 2 | 30.70 | 2.912 | 100 |
| 0 2 1 | 35.36 | 2.538 | 17 |
| 0 1 -4 | 35.60 | 2.522 | 17 |
| -2 1 1 | 35.83 | 2.506 | 17 |
| 0 1 5 | 51.05 | 1.789 | 12 |
| 2 1 0 | 51.23 | 1.783 | 12 |
| 2 0 -5 | 51.40 | 1.778 | 12 |
| 1 3 -1 | 60.58 | 1.528 | 7 |
| 1 2 -6 | 60.92 | 1.521 | 15 |
| 3 0 -3 | 61.23 | 1.514 | 14 |

Repeat the first record exactly.
Tb4Dy19Th6: computed powder XRD pattern (Cu Kα X-rays), based on DFT lattice parameters and positions (PBE).
Intensities are scaled so that the largest is 100.

Structural model:
```
data_Tb4Dy19Th6
_chemical_formula_sum 'Tb8 Dy38 Th12'
_space_group_name_H-M_alt 'I 2 3'
_space_group_IT_number 197
_space_group_name_Hall 'I 2 2 3'
_cell_length_a 12.439
_cell_length_b 12.439
_cell_length_c 12.439
_cell_angle_alpha 90.00
_cell_angle_beta 90.00
_cell_angle_gamma 90.00
loop_
_atom_site_label
_atom_site_type_symbol
_atom_site_fract_x
_atom_site_fract_y
_atom_site_fract_z
Tb1 Tb 0.178 0.178 0.178
Dy1 Dy 0.000 0.000 0.000
Dy2 Dy 0.000 0.000 0.265
Dy3 Dy 0.066 0.277 0.742
Th1 Th 0.000 0.130 0.500
```

Most intense lines, 15° ≤ 2θ ≤ 90°, low angle first:
| h k l | Position (°2θ) | d [Å] | I_rel |
| --- | --- | --- | --- |
| 3 2 1 | 26.82 | 3.324 | 78 |
| 4 0 0 | 28.71 | 3.110 | 65 |
| 4 1 1 | 30.49 | 2.932 | 100 |
| 4 2 2 | 35.35 | 2.539 | 58 |
| 4 3 1 | 36.84 | 2.439 | 100 |
| 4 3 3 | 42.37 | 2.133 | 26 |
| 6 3 3 | 54.18 | 1.693 | 25 |
| 7 4 1 | 60.46 | 1.531 | 34 |
| 8 2 0 | 61.47 | 1.508 | 26 |
| 7 4 3 | 64.44 | 1.446 | 25 |